No. 1
Diffraction record for Mg4NF6. The powder diffraction line list is computed, not measured: it uses a cell relaxed with PBE and Cu Ka.

Largest 8 diffraction maxima, by intensity, 2θ from 15° to 90°:
- 31.23°, I 100, hkl 2 0 1
- 52.40°, I 62, hkl 2 2 2
- 42.58°, I 36, hkl 3 0 1
- 51.68°, I 35, hkl 4 0 0
- 61.63°, I 25, hkl 4 2 1
- 47.04°, I 21, hkl 2 1 2
- 17.73°, I 13, hkl 1 1 0
- 50.11°, I 12, hkl 3 2 1

Structure:
a = 7.075 Å, b = 7.075 Å, c = 4.878 Å
α = 90.00°, β = 90.00°, γ = 90.00°
Space group P4_2/nmc (No. 137, origin choice 2)
Asymmetric unit:
Mg (0.010, 0.250, 0.048)
N (0.250, 0.750, 0.750)
F (0.049, 0.549, 0.250)
F (0.250, 0.250, 0.323)

No. 2
Diffraction record for YHg2Br2. The powder diffraction line list is computed, not measured: it uses a cell relaxed with PBE and Cu Ka.

Largest 8 diffraction maxima, by intensity, 2θ from 15° to 90°:
- 29.94°, I 100, hkl 2 1 1
- 26.92°, I 39, hkl 0 0 2
- 49.47°, I 25, hkl 2 1 3
- 47.24°, I 23, hkl 3 1 2
- 38.07°, I 21, hkl 3 1 0
- 52.31°, I 19, hkl 4 1 1
- 21.51°, I 16, hkl 1 1 1
- 27.40°, I 12, hkl 2 0 1

Structure:
a = 7.476 Å, b = 7.476 Å, c = 6.624 Å
α = 90.00°, β = 90.00°, γ = 90.00°
Space group P4/mbm (No. 127)
Asymmetric unit:
Y (0.000, 0.000, 0.000)
Hg (0.163, 0.337, 0.500)
Br (0.167, 0.667, 0.000)